1.
LiFePO4: theoretical X-ray diffraction stick pattern (Cu Kα (weighted mean of Kα1 and Kα2)), based on a cell relaxed with GGA+U.
Lines closer than 0.1° are merged.

Peak list (8 most intense, 2θ = 5–70°, in order of falling intensity)
hkl 0 2 0, 2θ 19.0, rel. 100; hkl 1 1 0, 2θ 19.5, rel. 90; hkl 0 0 2, 2θ 20.3, rel. 86; hkl 0 2 1, 2θ 21.5, rel. 57; hkl 0 2 3, 2θ 36.3, rel. 51; hkl 2 0 0, 2θ 34.4, rel. 36; hkl 1 3 0, 2θ 33.5, rel. 34; hkl 1 1 3, 2θ 36.8, rel. 26

Atomic structure:
```
data_LiFePO4
_chemical_formula_sum 'Li4 Fe4 P4 O16'
_cell_length_a 5.213
_cell_length_b 9.364
_cell_length_c 8.756
_cell_angle_alpha 90.00
_cell_angle_beta 90.77
_cell_angle_gamma 90.00
_symmetry_space_group_name_H-M 'C 1 c 1'
_symmetry_Int_Tables_number 9
loop_
_symmetry_equiv_pos_as_xyz
'x,y,z'
'x,-y,z+1/2'
'x+1/2,y+1/2,z'
'x+1/2,-y+1/2,z+1/2'
loop_
_atom_site_label
_atom_site_fract_x
_atom_site_fract_y
_atom_site_fract_z
Li1 0.000 0.179 0.000
Fe1 0.012 0.333 0.307
P1 0.017 0.325 0.680
O1 0.083 0.480 0.720
O2 0.132 0.221 0.804
O3 0.139 0.287 0.523
O4 0.221 0.198 0.171
```

2.
Li2FeP2O7: theoretical X-ray diffraction stick pattern (Cu Kα (weighted mean of Kα1 and Kα2)), based on a cell relaxed with GGA+U.
Lines closer than 0.1° are merged.

Peak list (8 most intense, 2θ = 5–70°, in order of falling intensity)
hkl 2 0 0, 2θ 22.0, rel. 100; hkl 0 2 0, 2θ 13.8, rel. 96; hkl 2 2 0, 2θ 26.1, rel. 74; hkl 1 3 -1, 2θ 28.4, rel. 72; hkl 1 3 1, 2θ 28.6, rel. 70; hkl 1 5 -1, 2θ 40.2, rel. 69; hkl 2 0 -1, 2θ 27.1, rel. 59; hkl 2 0 1, 2θ 27.4, rel. 56

Atomic structure:
```
data_Li2FeP2O7
_chemical_formula_sum 'Li8 Fe4 P8 O28'
_cell_length_a 8.080
_cell_length_b 12.840
_cell_length_c 5.583
_cell_angle_alpha 90.00
_cell_angle_beta 90.57
_cell_angle_gamma 90.00
_symmetry_space_group_name_H-M 'C 1 2/m 1'
_symmetry_Int_Tables_number 12
loop_
_symmetry_equiv_pos_as_xyz
'x,y,z'
'-x,-y,-z'
'-x,y,-z'
'x,-y,z'
'x+1/2,y+1/2,z'
'-x+1/2,-y+1/2,-z'
'-x+1/2,y+1/2,-z'
'x+1/2,-y+1/2,z'
loop_
_atom_site_label
_atom_site_fract_x
_atom_site_fract_y
_atom_site_fract_z
Li1 0.000 0.214 0.000
Li2 0.000 0.215 0.500
Fe1 0.194 0.000 0.742
P1 0.203 0.389 0.755
O1 0.071 0.306 0.751
O2 0.104 0.500 0.752
O3 0.187 0.111 0.470
O4 0.190 0.111 0.014
```

3.
Li3FeP8O24: theoretical X-ray diffraction stick pattern (Cu Kα (weighted mean of Kα1 and Kα2)), based on a cell relaxed with GGA+U.
Lines closer than 0.1° are merged.

Peak list (8 most intense, 2θ = 5–70°, in order of falling intensity)
hkl 2 2 0, 2θ 27.4, rel. 100; hkl 0 2 2, 2θ 29.7, rel. 79; hkl 2 0 -2, 2θ 19.0, rel. 70; hkl 1 1 -2, 2θ 20.8, rel. 44; hkl 0 0 1, 2θ 10.1, rel. 24; hkl 3 1 -2, 2θ 25.8, rel. 20; hkl 4 0 0, 2θ 33.7, rel. 20; hkl 2 0 0, 2θ 16.7, rel. 16

Atomic structure:
```
data_Li3FeP8O24
_chemical_formula_sum 'Li6 Fe2 P16 O48'
_cell_length_a 12.147
_cell_length_b 8.249
_cell_length_c 10.029
_cell_angle_alpha 90.00
_cell_angle_beta 118.97
_cell_angle_gamma 90.00
_symmetry_space_group_name_H-M 'C 1 2 1'
_symmetry_Int_Tables_number 5
loop_
_symmetry_equiv_pos_as_xyz
'x,y,z'
'-x,y,-z'
'x+1/2,y+1/2,z'
'-x+1/2,y+1/2,-z'
loop_
_atom_site_label
_atom_site_fract_x
_atom_site_fract_y
_atom_site_fract_z
Li1 0.000 0.000 0.000
Li2 0.229 0.808 0.232
Fe1 0.000 0.102 0.500
P1 0.000 0.791 0.282
P2 0.013 0.310 0.236
P3 0.193 0.567 0.930
P4 0.204 0.545 0.455
O1 0.024 0.942 0.647
O2 0.034 0.171 0.159
O3 0.035 0.276 0.649
O4 0.044 0.811 0.168
O5 0.081 0.437 0.886
O6 0.093 0.677 0.421
O7 0.131 0.695 0.789
O8 0.139 0.417 0.317
O9 0.195 0.125 0.570
O10 0.200 0.987 0.077
O11 0.219 0.643 0.078
O12 0.237 0.469 0.603
```

4.
LiFePO4: theoretical X-ray diffraction stick pattern (Cu Kα (weighted mean of Kα1 and Kα2)), based on a cell relaxed with GGA+U.
Lines closer than 0.1° are merged.

Peak list (8 most intense, 2θ = 5–70°, in order of falling intensity)
hkl 0 1 1, 2θ 12.0, rel. 100; hkl 2 1 0, 2θ 32.1, rel. 75; hkl 0 2 1, 2θ 18.5, rel. 63; hkl 1 1 -3, 2θ 31.9, rel. 52; hkl 1 2 3, 2θ 35.6, rel. 42; hkl 0 2 3, 2θ 31.6, rel. 23; hkl 0 3 1, 2θ 26.0, rel. 22; hkl 0 1 3, 2θ 28.1, rel. 21

Atomic structure:
```
data_LiFePO4
_chemical_formula_sum 'Li8 Fe8 P8 O32'
_cell_length_a 5.776
_cell_length_b 10.930
_cell_length_c 9.941
_cell_angle_alpha 90.00
_cell_angle_beta 91.34
_cell_angle_gamma 90.00
_symmetry_space_group_name_H-M 'P 1 21/c 1'
_symmetry_Int_Tables_number 14
loop_
_symmetry_equiv_pos_as_xyz
'x,y,z'
'-x,-y,-z'
'-x,y+1/2,-z+1/2'
'x,-y+1/2,z+1/2'
loop_
_atom_site_label
_atom_site_fract_x
_atom_site_fract_y
_atom_site_fract_z
Li1 0.111 0.159 0.359
Li2 0.380 0.645 0.113
Fe1 0.158 0.625 0.514
Fe2 0.381 0.096 0.769
P1 0.125 0.606 0.841
P2 0.369 0.145 0.091
O1 0.093 0.023 0.669
O2 0.116 0.686 0.971
O3 0.137 0.690 0.713
O4 0.156 0.060 0.072
O5 0.325 0.229 0.210
O6 0.345 0.523 0.850
O7 0.406 0.569 0.376
O8 0.413 0.212 0.956
```

5.
LiFeP2O7: theoretical X-ray diffraction stick pattern (Cu Kα (weighted mean of Kα1 and Kα2)), based on a cell relaxed with GGA+U.
Lines closer than 0.1° are merged.

Peak list (8 most intense, 2θ = 5–70°, in order of falling intensity)
hkl 0 0 4, 2θ 26.6, rel. 100; hkl 3 1 -1, 2θ 30.2, rel. 65; hkl 1 1 2, 2θ 21.5, rel. 49; hkl 0 2 0, 2θ 21.8, rel. 46; hkl 2 2 -3, 2θ 32.4, rel. 43; hkl 2 2 1, 2θ 31.4, rel. 37; hkl 1 1 -2, 2θ 17.8, rel. 26; hkl 1 1 -3, 2θ 22.4, rel. 25

Atomic structure:
```
data_LiFeP2O7
_chemical_formula_sum 'Li8 Fe8 P16 O56'
_cell_length_a 9.541
_cell_length_b 8.136
_cell_length_c 13.957
_cell_angle_alpha 90.00
_cell_angle_beta 106.31
_cell_angle_gamma 90.00
_symmetry_space_group_name_H-M 'C 1 2/c 1'
_symmetry_Int_Tables_number 15
loop_
_symmetry_equiv_pos_as_xyz
'x,y,z'
'-x,-y,-z'
'-x,y,-z+1/2'
'x,-y,z+1/2'
'x+1/2,y+1/2,z'
'-x+1/2,-y+1/2,-z'
'-x+1/2,y+1/2,-z+1/2'
'x+1/2,-y+1/2,z+1/2'
loop_
_atom_site_label
_atom_site_fract_x
_atom_site_fract_y
_atom_site_fract_z
Li1 0.218 0.004 0.344
Fe1 0.216 0.371 0.853
P1 0.041 0.305 0.413
P2 0.073 0.205 0.634
O1 0.092 0.186 0.879
O2 0.099 0.254 0.531
O3 0.100 0.182 0.357
O4 0.102 0.481 0.412
O5 0.130 0.306 0.112
O6 0.141 0.344 0.708
O7 0.152 0.042 0.668
```